No. 1
The following is a simulated powder XRD pattern of U3Te4. It was derived from a structure optimized by DFT (GGA-PBE), using copper Kα.
Kinematic intensities with the Lorentz-polarization factor, no thermal factor.

Top 8 peaks for 2θ from 10° to 90°, low angle first:
2θ = 23.48°, rel. 28, (2 1 1)
2θ = 30.45°, rel. 100, (3 1 0)
2θ = 36.21°, rel. 71, (3 2 1)
2θ = 43.61°, rel. 26, (4 2 0)
2θ = 45.85°, rel. 17, (3 3 2)
2θ = 50.11°, rel. 18, (4 3 1)
2θ = 61.59°, rel. 34, (6 1 1)
2θ = 75.22°, rel. 21, (5 5 2)

Structural model:
Unit cell a=9.2822 b=9.2822 c=9.2822 alpha=90.00 beta=90.00 gamma=90.00
Space group I-43d (No. 220)
Unique sites:
U  0.0000  0.2500  0.8750 (multiplicity 12)
Te  0.0776  0.4224  0.5776 (multiplicity 16)

***

No. 2
The following is a simulated powder XRD pattern of IO3. It was derived from a structure optimized by DFT (GGA-PBE), using copper Kα.
Kinematic intensities with the Lorentz-polarization factor, no thermal factor.

Top 8 peaks for 2θ from 10° to 90°, low angle first:
2θ = 19.84°, rel. 47, (0 1 1)
2θ = 20.35°, rel. 19, (0 0 2)
2θ = 25.38°, rel. 19, (1 1 0)
2θ = 27.39°, rel. 100, (1 1 1)
2θ = 27.77°, rel. 67, (1 0 2)
2θ = 35.34°, rel. 23, (0 1 3)
2θ = 50.83°, rel. 15, (1 2 3)
2θ = 52.79°, rel. 30, (2 1 3)

Structural model:
Unit cell a=4.7471 b=5.2111 c=8.7263 alpha=90.00 beta=90.00 gamma=90.00
Space group P2_12_12_1 (No. 19)
Unique sites:
I  0.2385  0.1838  0.3375 (multiplicity 4)
O  0.0045  0.5462  0.3105 (multiplicity 4)
O  0.0183  0.0978  0.5099 (multiplicity 4)
O  0.0211  0.0944  0.8485 (multiplicity 4)

***

No. 3
The following is a simulated powder XRD pattern of Ti4AlCu3O12. It was derived from a structure optimized by DFT (GGA-PBE), using copper Kα.
Kinematic intensities with the Lorentz-polarization factor, no thermal factor.

Top 8 peaks for 2θ from 10° to 90°, low angle first:
2θ = 16.87°, rel. 6, (1 1 0)
2θ = 29.44°, rel. 10, (2 1 1)
2θ = 34.13°, rel. 100, (2 2 0)
2θ = 38.30°, rel. 7, (3 0 1)
2θ = 49.04°, rel. 31, (4 0 0)
2θ = 61.09°, rel. 51, (4 2 2)
2θ = 71.87°, rel. 13, (4 4 0)
2θ = 82.01°, rel. 16, (6 0 2)

Structural model:
Unit cell a=7.4310 b=7.4310 c=7.4310 alpha=90.00 beta=90.00 gamma=90.00
Space group Im-3 (No. 204)
Unique sites:
Ti  0.2500  0.2500  0.2500 (multiplicity 8)
Al  0.0000  0.0000  0.0000 (multiplicity 2)
Cu  0.0000  0.0000  0.5000 (multiplicity 6)
O  0.0000  0.1734  0.2948 (multiplicity 24)

***

No. 4
The following is a simulated powder XRD pattern of Ta2V3Cu. It was derived from a structure optimized by DFT (GGA-PBE), using copper Kα.
Kinematic intensities with the Lorentz-polarization factor, no thermal factor.

Top 8 peaks for 2θ from 10° to 90°, low angle first:
2θ = 21.18°, rel. 21, (0 0 2)
2θ = 36.31°, rel. 76, (1 1 0)
2θ = 38.44°, rel. 96, (1 0 3)
2θ = 42.42°, rel. 100, (1 1 2)
2θ = 43.60°, rel. 36, (2 0 1)
2θ = 66.74°, rel. 35, (2 1 3)
2θ = 69.52°, rel. 23, (3 0 2)
2θ = 71.41°, rel. 26, (2 0 5)

Structural model:
Unit cell a=4.9480 b=4.9480 c=8.3889 alpha=90.00 beta=90.00 gamma=120.00
Space group P6_3/mmc (No. 194)
Unique sites:
Ta  0.3333  0.6667  0.0590 (multiplicity 4)
V  0.1739  0.3478  0.7500 (multiplicity 6)
Cu  0.0000  0.0000  0.0000 (multiplicity 2)

***

Copy entry 3 word for word.
The following is a simulated powder XRD pattern of Ti4AlCu3O12. It was derived from a structure optimized by DFT (GGA-PBE), using copper Kα.
Kinematic intensities with the Lorentz-polarization factor, no thermal factor.

Top 8 peaks for 2θ from 10° to 90°, low angle first:
2θ = 16.87°, rel. 6, (1 1 0)
2θ = 29.44°, rel. 10, (2 1 1)
2θ = 34.13°, rel. 100, (2 2 0)
2θ = 38.30°, rel. 7, (3 0 1)
2θ = 49.04°, rel. 31, (4 0 0)
2θ = 61.09°, rel. 51, (4 2 2)
2θ = 71.87°, rel. 13, (4 4 0)
2θ = 82.01°, rel. 16, (6 0 2)

Structural model:
Unit cell a=7.4310 b=7.4310 c=7.4310 alpha=90.00 beta=90.00 gamma=90.00
Space group Im-3 (No. 204)
Unique sites:
Ti  0.2500  0.2500  0.2500 (multiplicity 8)
Al  0.0000  0.0000  0.0000 (multiplicity 2)
Cu  0.0000  0.0000  0.5000 (multiplicity 6)
O  0.0000  0.1734  0.2948 (multiplicity 24)